Structure and theoretical powder XRD pattern of Ni4P2O9 (DFT lattice parameters and positions (PBE+U); Cu Kα (weighted mean of Kα1 and Kα2)).

Peak list (10 most intense, 2θ from 10° to 90°, most intense first)
2θ (°)	d (Å)	I/Imax
32.2	2.776	100
31.2	2.865	58
34.3	2.612	51
31.3	2.861	40
32.0	2.796	40
50.1	1.822	26
29.7	3.007	25
21.1	4.206	25
33.9	2.644	22
65.7	1.421	21

Cell and atoms:
Cell lengths 6.495, 11.103, 9.235 Å; angles 90.00, 105.89, 90.00 degrees
Element x y z (fractional)
Ni  0.046  0.133  0.318
Ni  0.046  0.367  0.818
Ni  0.270  0.121  0.748
Ni  0.270  0.379  0.248
Ni  0.321  0.601  0.461
Ni  0.321  0.899  0.961
Ni  0.437  0.595  0.115
Ni  0.437  0.905  0.615
Ni  0.563  0.095  0.385
Ni  0.563  0.405  0.885
Ni  0.679  0.101  0.039
Ni  0.679  0.399  0.539
Ni  0.730  0.621  0.752
Ni  0.730  0.879  0.252
Ni  0.954  0.633  0.182
Ni  0.954  0.867  0.682
P  0.205  0.171  0.076
P  0.205  0.329  0.576
P  0.255  0.632  0.814
P  0.255  0.868  0.314
P  0.745  0.132  0.686
P  0.745  0.368  0.186
P  0.795  0.671  0.424
P  0.795  0.829  0.924
O  0.004  0.104  0.085
O  0.004  0.396  0.585
O  0.029  0.675  0.733
O  0.029  0.825  0.233
O  0.169  0.197  0.525
O  0.169  0.303  0.025
O  0.245  0.560  0.234
O  0.245  0.940  0.734
O  0.257  0.510  0.902
O  0.257  0.990  0.402
O  0.335  0.190  0.246
O  0.335  0.310  0.746
O  0.336  0.095  0.989
O  0.336  0.405  0.489
O  0.362  0.718  0.946
O  0.362  0.782  0.446
O  0.393  0.615  0.702
O  0.393  0.885  0.202
O  0.607  0.115  0.798
O  0.607  0.385  0.298
O  0.638  0.218  0.554
O  0.638  0.282  0.054
O  0.664  0.595  0.511
O  0.664  0.905  0.011
O  0.665  0.690  0.254
O  0.665  0.810  0.754
O  0.743  0.010  0.598
O  0.743  0.490  0.098
O  0.755  0.060  0.266
O  0.755  0.440  0.766
O  0.831  0.697  0.975
O  0.831  0.803  0.475
O  0.971  0.175  0.767
O  0.971  0.325  0.267
O  0.996  0.604  0.415
O  0.996  0.896  0.915

=====

Structure and theoretical powder XRD pattern of NiPO5 (DFT lattice parameters and positions (PBE+U); Cu Kα (weighted mean of Kα1 and Kα2)).

Peak list (10 most intense, 2θ from 10° to 90°, most intense first)
2θ (°)	d (Å)	I/Imax
11.7	7.592	100
29.9	2.992	17
30.2	2.956	17
21.6	4.122	13
32.3	2.773	12
38.2	2.356	7
38.7	2.327	7
17.1	5.177	7
25.0	3.562	6
24.9	3.583	5

Cell and atoms:
Cell lengths 5.546, 4.909, 8.034 Å; angles 90.00, 109.10, 90.00 degrees
Element x y z (fractional)
Ni  0.239  0.000  0.479
Ni  0.761  0.500  0.521
P  0.351  0.565  0.714
P  0.649  0.065  0.286
O  0.089  0.712  0.621
O  0.150  0.732  0.303
O  0.334  0.254  0.684
O  0.449  0.601  0.915
O  0.475  0.210  0.380
O  0.525  0.710  0.620
O  0.551  0.101  0.085
O  0.666  0.754  0.316
O  0.850  0.232  0.697
O  0.911  0.212  0.379

=====

Structure and theoretical powder XRD pattern of Ni7P6O24 (DFT lattice parameters and positions (PBE+U); Cu Kα (weighted mean of Kα1 and Kα2)).

Peak list (10 most intense, 2θ from 10° to 90°, most intense first)
2θ (°)	d (Å)	I/Imax
14.0	6.328	100
32.2	2.780	34
12.6	7.036	32
33.5	2.677	23
31.0	2.886	20
23.9	3.722	17
33.0	2.716	13
18.9	4.705	12
66.3	1.410	10
34.0	2.636	9

Cell and atoms:
Cell lengths 8.836, 8.836, 6.532 Å; angles 98.61, 98.61, 105.56 degrees
Element x y z (fractional)
Ni  0.000  0.000  0.000
Ni  0.025  0.640  0.187
Ni  0.360  0.975  0.813
Ni  0.382  0.618  0.000
Ni  0.618  0.382  0.000
Ni  0.640  0.025  0.187
Ni  0.975  0.360  0.813
P  0.105  0.711  0.725
P  0.289  0.895  0.275
P  0.303  0.303  0.014
P  0.697  0.697  0.986
P  0.711  0.105  0.725
P  0.895  0.289  0.275
O  0.016  0.603  0.862
O  0.021  0.649  0.495
O  0.106  0.886  0.212
O  0.114  0.894  0.788
O  0.191  0.191  0.117
O  0.214  0.399  0.880
O  0.275  0.711  0.229
O  0.289  0.725  0.771
O  0.351  0.979  0.505
O  0.397  0.984  0.138
O  0.399  0.214  0.880
O  0.442  0.442  0.165
O  0.558  0.558  0.835
O  0.601  0.786  0.120
O  0.603  0.016  0.862
O  0.649  0.021  0.495
O  0.711  0.275  0.229
O  0.725  0.289  0.771
O  0.786  0.601  0.120
O  0.809  0.809  0.883
O  0.886  0.106  0.212
O  0.894  0.114  0.788
O  0.979  0.351  0.505
O  0.984  0.397  0.138

=====

Structure and theoretical powder XRD pattern of Ni2P3O10 (DFT lattice parameters and positions (PBE+U); Cu Kα (weighted mean of Kα1 and Kα2)).

Peak list (10 most intense, 2θ from 10° to 90°, most intense first)
2θ (°)	d (Å)	I/Imax
28.9	3.094	100
10.0	8.826	98
33.8	2.655	69
31.8	2.811	39
25.9	3.442	39
44.5	2.035	30
25.4	3.512	27
20.1	4.413	26
23.0	3.872	23
37.4	2.404	21

Cell and atoms:
Cell lengths 4.662, 8.339, 8.915 Å; angles 90.00, 98.12, 90.00 degrees
Element x y z (fractional)
Ni  0.048  0.068  0.333
Ni  0.048  0.432  0.333
Ni  0.952  0.568  0.667
Ni  0.952  0.932  0.667
P  0.331  0.250  0.816
P  0.392  0.750  0.461
P  0.470  0.250  0.151
P  0.530  0.750  0.849
P  0.608  0.250  0.539
P  0.669  0.750  0.184
O  0.167  0.095  0.795
O  0.167  0.405  0.795
O  0.218  0.750  0.760
O  0.227  0.595  0.490
O  0.227  0.905  0.490
O  0.296  0.250  0.453
O  0.304  0.097  0.177
O  0.304  0.403  0.177
O  0.408  0.750  0.284
O  0.472  0.750  0.022
O  0.528  0.250  0.978
O  0.592  0.250  0.716
O  0.696  0.597  0.823
O  0.696  0.903  0.823
O  0.704  0.750  0.547
O  0.773  0.095  0.510
O  0.773  0.405  0.510
O  0.782  0.250  0.240
O  0.833  0.595  0.205
O  0.833  0.905  0.205

=====

Which formula does entry 2 have? NiPO5

=====

Which formula does entry 1 have? Ni4P2O9